[1]
This entry pairs a crystal structure of Ti6Re5Ru with its calculated powder X-ray diffraction pattern. Radiation: a wavelength of 1.5418 Å. Structure: a structure optimized by DFT (GGA-PBE).
Intensities are scaled so that the largest is 100.

Peak list (12 most intense, 15 to 90 degrees two-theta, by angle)
2θ/deg	intensity
19.60	1
28.70	41
41.04	100
50.85	12
59.32	6
59.50	11
67.22	5
67.37	11
74.69	11
74.81	22
88.98	7
89.14	4

Structural model:
a b c (Å): 6.948 6.948 6.232
angles (deg): 90.00 90.00 143.13
Positions (direct):
Ti 0.000 0.000 0.249
Ti 0.000 0.000 0.751
Ti 0.334 0.666 0.249
Ti 0.334 0.666 0.751
Ti 0.666 0.334 0.249
Ti 0.666 0.334 0.751
Re 0.166 0.834 0.500
Re 0.168 0.832 0.000
Re 0.500 0.500 0.500
Re 0.832 0.168 0.000
Re 0.834 0.166 0.500
Ru 0.500 0.500 0.000


[2]
This entry pairs a crystal structure of V4Re2Ru with its calculated powder X-ray diffraction pattern. Radiation: a wavelength of 1.5418 Å. Structure: a structure optimized by DFT (GGA-PBE).
Intensities are scaled so that the largest is 100.

Peak list (12 most intense, 15 to 90 degrees two-theta, by angle)
2θ/deg	intensity
21.04	63
29.75	11
29.95	21
36.73	24
42.72	100
42.87	50
48.22	13
53.05	9
57.71	15
62.23	16
78.13	16
78.43	32

Structural model:
a b c (Å): 5.179 5.179 5.179
angles (deg): 109.65 109.65 109.12
Positions (direct):
V 0.000 0.000 0.500
V 0.000 0.500 0.000
V 0.500 0.000 0.000
V 0.500 0.500 0.500
Re 0.000 0.500 0.500
Re 0.500 0.000 0.500
Ru 0.000 0.000 0.000


[3]
This entry pairs a crystal structure of YRe2Ru2 with its calculated powder X-ray diffraction pattern. Radiation: a wavelength of 1.5418 Å. Structure: a structure optimized by DFT (GGA-PBE).
Intensities are scaled so that the largest is 100.

Peak list (12 most intense, 15 to 90 degrees two-theta, by angle)
2θ/deg	intensity
16.14	39
25.66	9
31.99	10
36.60	56
39.71	19
41.45	100
41.96	28
46.80	14
53.72	23
70.40	18
73.96	13
78.74	12

Structural model:
a b c (Å): 7.764 7.764 2.798
angles (deg): 90.00 90.00 90.00
Positions (direct):
Y 0.000 0.000 0.000
Y 0.500 0.500 0.000
Re 0.118 0.382 0.000
Re 0.382 0.882 0.000
Re 0.618 0.118 0.000
Re 0.882 0.618 0.000
Ru 0.170 0.670 0.500
Ru 0.330 0.170 0.500
Ru 0.670 0.830 0.500
Ru 0.830 0.330 0.500


[4]
This entry pairs a crystal structure of Zr6ReRu with its calculated powder X-ray diffraction pattern. Radiation: a wavelength of 1.5418 Å. Structure: a structure optimized by DFT (GGA-PBE).
Intensities are scaled so that the largest is 100.

Peak list (12 most intense, 15 to 90 degrees two-theta, by angle)
2θ/deg	intensity
19.88	5
36.25	100
38.48	46
45.55	9
48.67	8
55.55	16
63.69	14
68.15	30
74.57	4
76.94	8
82.46	5
82.69	4

Structural model:
a b c (Å): 8.179 8.179 4.679
angles (deg): 106.56 106.56 33.24
Positions (direct):
Zr 0.108 0.108 0.108
Zr 0.247 0.247 0.746
Zr 0.392 0.392 0.392
Zr 0.608 0.608 0.608
Zr 0.753 0.753 0.254
Zr 0.892 0.892 0.892
Re 0.000 0.000 0.500
Ru 0.500 0.500 0.000


[5]
This entry pairs a crystal structure of ReSeS3 with its calculated powder X-ray diffraction pattern. Radiation: a wavelength of 1.5418 Å. Structure: a structure optimized by DFT (GGA-PBE).
Intensities are scaled so that the largest is 100.

Peak list (12 most intense, 15 to 90 degrees two-theta, by angle)
2θ/deg	intensity
19.25	42
27.35	100
39.07	48
43.91	20
48.35	44
56.44	32
60.21	10
63.84	19
70.78	11
77.45	22
83.94	5
87.16	6

Structural model:
a b c (Å): 4.611 4.611 4.611
angles (deg): 90.00 90.00 90.00
Positions (direct):
Re 0.000 0.000 0.000
Se 0.500 0.500 0.500
S 0.000 0.000 0.500
S 0.000 0.500 0.000
S 0.500 0.000 0.000


[6]
This entry pairs a crystal structure of Re4Se8S with its calculated powder X-ray diffraction pattern. Radiation: a wavelength of 1.5418 Å. Structure: a structure optimized by DFT (GGA-PBE).
Intensities are scaled so that the largest is 100.

Peak list (12 most intense, 15 to 90 degrees two-theta, by angle)
2θ/deg	intensity
19.83	19
22.20	16
31.58	41
34.68	32
36.17	12
40.27	100
41.53	17
41.64	17
42.85	22
54.13	12
54.25	12
56.21	16

Structural model:
a b c (Å): 9.089 9.089 12.651
angles (deg): 133.94 133.94 20.75
Positions (direct):
Re 0.000 0.000 0.000
Re 0.379 0.379 0.742
Re 0.509 0.509 0.379
Re 0.870 0.870 0.361
Se 0.023 0.023 0.830
Se 0.041 0.041 0.263
Se 0.062 0.062 0.577
Se 0.316 0.316 0.164
Se 0.338 0.338 0.478
Se 0.356 0.356 0.912
Se 0.648 0.648 0.180
Se 0.731 0.731 0.562
S 0.691 0.691 0.870


[7]
This entry pairs a crystal structure of ReSn3S with its calculated powder X-ray diffraction pattern. Radiation: a wavelength of 1.5418 Å. Structure: a structure optimized by DFT (GGA-PBE).
Intensities are scaled so that the largest is 100.

Peak list (12 most intense, 15 to 90 degrees two-theta, by angle)
2θ/deg	intensity
17.19	100
24.40	12
30.00	23
34.78	84
39.04	54
50.01	61
53.27	28
62.35	21
65.21	13
76.07	16
83.88	29
86.44	12

Structural model:
a b c (Å): 5.159 5.159 5.159
angles (deg): 90.00 90.00 90.00
Positions (direct):
Re 0.000 0.000 0.000
Sn 0.000 0.000 0.500
Sn 0.000 0.500 0.000
Sn 0.500 0.000 0.000
S 0.500 0.500 0.500


[8]
This entry pairs a crystal structure of ReTeS2 with its calculated powder X-ray diffraction pattern. Radiation: a wavelength of 1.5418 Å. Structure: a structure optimized by DFT (GGA-PBE).
Intensities are scaled so that the largest is 100.

Peak list (12 most intense, 15 to 90 degrees two-theta, by angle)
2θ/deg	intensity
15.79	100
31.89	13
33.30	56
34.59	31
39.38	50
42.68	32
50.61	14
55.13	18
58.66	16
61.16	17
68.34	9
79.60	11

Structural model:
a b c (Å): 11.371 11.371 11.371
angles (deg): 15.91 15.91 15.91
Positions (direct):
Re 0.000 0.000 0.000
Te 0.500 0.500 0.500
S 0.381 0.381 0.381
S 0.619 0.619 0.619


[9]
This entry pairs a crystal structure of Tl2ReS5 with its calculated powder X-ray diffraction pattern. Radiation: a wavelength of 1.5418 Å. Structure: a structure optimized by DFT (GGA-PBE).
Intensities are scaled so that the largest is 100.

Peak list (12 most intense, 15 to 90 degrees two-theta, by angle)
2θ/deg	intensity
15.27	39
23.33	57
24.06	54
24.67	51
25.32	40
26.29	100
28.84	24
35.21	30
35.73	30
36.08	34
43.45	29
44.36	28

Structural model:
a b c (Å): 6.788 6.825 7.109
angles (deg): 66.40 64.45 64.09
Positions (direct):
Tl 0.000 0.000 0.000
Tl 0.482 0.539 0.476
Re 0.249 0.237 0.293
S 0.038 0.030 0.521
S 0.080 0.571 0.365
S 0.155 0.387 0.962
S 0.448 0.103 0.975
S 0.569 0.097 0.382


[10]
This entry pairs a crystal structure of Tl2Re3S6 with its calculated powder X-ray diffraction pattern. Radiation: a wavelength of 1.5418 Å. Structure: a structure optimized by DFT (GGA-PBE).
Intensities are scaled so that the largest is 100.

Peak list (12 most intense, 15 to 90 degrees two-theta, by angle)
2θ/deg	intensity
18.09	100
18.18	40
19.57	59
19.63	71
25.73	47
28.77	97
30.76	43
31.62	67
31.72	67
37.56	41
38.95	74
47.43	94

Structural model:
a b c (Å): 9.781 9.781 11.984
angles (deg): 90.23 90.23 60.30
Positions (direct):
Tl 0.090 0.910 0.750
Tl 0.138 0.643 0.510
Tl 0.301 0.699 0.250
Tl 0.357 0.862 0.990
Tl 0.643 0.138 0.010
Tl 0.699 0.301 0.750
Tl 0.862 0.357 0.490
Tl 0.910 0.090 0.250
Re 0.035 0.379 0.871
Re 0.100 0.316 0.086
Re 0.192 0.493 0.979
Re 0.316 0.100 0.586
Re 0.379 0.035 0.371
Re 0.493 0.192 0.479
Re 0.507 0.808 0.521
Re 0.621 0.965 0.629
Re 0.684 0.900 0.414
Re 0.808 0.507 0.021
Re 0.900 0.684 0.914
Re 0.965 0.621 0.129
S 0.053 0.774 0.021
S 0.069 0.224 0.698
S 0.117 0.549 0.785
S 0.214 0.300 0.441
S 0.224 0.069 0.198
S 0.226 0.947 0.479
S 0.236 0.435 0.175
S 0.300 0.214 0.941
S 0.435 0.236 0.675
S 0.439 0.493 0.929
S 0.451 0.883 0.715
S 0.493 0.439 0.429
S 0.507 0.561 0.571
S 0.549 0.117 0.285
S 0.561 0.507 0.071
S 0.565 0.764 0.325
S 0.700 0.786 0.059
S 0.764 0.565 0.825
S 0.774 0.053 0.521
S 0.776 0.931 0.802
S 0.786 0.700 0.559
S 0.883 0.451 0.215
S 0.931 0.776 0.302
S 0.947 0.226 0.979


[11]
This entry pairs a crystal structure of TlRe2S4 with its calculated powder X-ray diffraction pattern. Radiation: a wavelength of 1.5418 Å. Structure: a structure optimized by DFT (GGA-PBE).
Intensities are scaled so that the largest is 100.

Peak list (12 most intense, 15 to 90 degrees two-theta, by angle)
2θ/deg	intensity
22.83	41
25.44	89
27.46	86
27.63	100
30.40	30
31.66	93
32.69	37
43.17	67
43.36	45
45.99	29
47.19	30
52.25	67

Structural model:
a b c (Å): 7.123 7.123 7.123
angles (deg): 114.53 100.54 113.69
Positions (direct):
Tl 0.128 0.250 0.378
Tl 0.872 0.750 0.622
Re 0.466 0.924 0.042
Re 0.479 0.479 0.000
Re 0.479 0.979 0.500
Re 0.883 0.424 0.958
S 0.177 0.498 0.804
S 0.177 0.873 0.179
S 0.259 0.533 0.226
S 0.307 0.033 0.774
S 0.610 0.407 0.703
S 0.694 0.373 0.196
S 0.694 0.998 0.821
S 0.704 0.907 0.297


[12]
This entry pairs a crystal structure of Zr2TlReS with its calculated powder X-ray diffraction pattern. Radiation: a wavelength of 1.5418 Å. Structure: a structure optimized by DFT (GGA-PBE).
Intensities are scaled so that the largest is 100.

Peak list (12 most intense, 15 to 90 degrees two-theta, by angle)
2θ/deg	intensity
17.43	9
26.67	14
32.04	100
35.29	24
38.08	40
52.88	31
54.94	14
61.30	16
65.04	26
67.01	15
86.87	12
87.01	8

Structural model:
a b c (Å): 4.727 4.727 5.087
angles (deg): 90.00 90.00 90.00
Positions (direct):
Zr 0.000 0.500 0.000
Zr 0.500 0.000 0.000
Tl 0.000 0.000 0.500
Re 0.500 0.500 0.500
S 0.000 0.000 0.000


[13]
This entry pairs a crystal structure of Y3ReS with its calculated powder X-ray diffraction pattern. Radiation: a wavelength of 1.5418 Å. Structure: a structure optimized by DFT (GGA-PBE).
Intensities are scaled so that the largest is 100.

Peak list (12 most intense, 15 to 90 degrees two-theta, by angle)
2θ/deg	intensity
16.50	100
23.42	25
33.36	75
37.44	54
47.90	54
51.01	28
59.63	18
62.33	12
72.56	16
79.86	23
82.25	11
89.36	18

Structural model:
a b c (Å): 5.371 5.371 5.371
angles (deg): 90.00 90.00 90.00
Positions (direct):
Y 0.000 0.000 0.500
Y 0.000 0.500 0.000
Y 0.500 0.000 0.000
Re 0.000 0.000 0.000
S 0.500 0.500 0.500


[14]
This entry pairs a crystal structure of Re4Sb with its calculated powder X-ray diffraction pattern. Radiation: a wavelength of 1.5418 Å. Structure: a structure optimized by DFT (GGA-PBE).
Intensities are scaled so that the largest is 100.

Peak list (12 most intense, 15 to 90 degrees two-theta, by angle)
2θ/deg	intensity
20.05	3
26.09	2
39.02	100
40.75	2
44.46	18
45.81	31
49.03	3
65.75	21
66.80	10
78.21	13
80.16	24
83.82	11

Structural model:
a b c (Å): 4.875 4.875 4.875
angles (deg): 100.06 100.06 130.59
Positions (direct):
Re 0.081 0.696 0.778
Re 0.304 0.081 0.385
Re 0.696 0.919 0.615
Re 0.919 0.304 0.222
Sb 0.500 0.500 0.000